(1)
CoCu3Pd3: computed powder diffractogram (Cu Kα, 1.54184 Å), based on a cell relaxed with PBE.
No peak broadening, texture or thermal motion is included.

Structure:
Unit cell a=8.4414 b=8.4788 c=5.5857 alpha=90.00 beta=90.00 gamma=90.00
Space group C2/m (No. 12)
Unique sites:
Co (0.2474, 0.0000, 0.4991) x4
Cu (0.0000, 0.1643, 0.5000) x4
Cu (0.0000, 0.2175, 0.0000) x4
Cu (0.2140, 0.0000, 0.0009) x4
Pd (0.0002, 0.5000, 0.2475) x4
Pd (0.2498, 0.2494, 0.7462) x8

Most intense lines, 10° ≤ 2θ ≤ 80°, sorted by position:
d = 2.680 Å, I = 15, hkl 1 3 0
d = 2.531 Å, I = 19, hkl 1 1 2
d = 2.120 Å, I = 20, hkl 0 4 0
d = 2.110 Å, I = 30, hkl 4 0 0
d = 2.041 Å, I = 100, hkl 2 2 2
d = 1.994 Å, I = 11, hkl 3 3 0
d = 1.496 Å, I = 12, hkl 4 4 0
d = 1.205 Å, I = 14, hkl 6 2 2

---

(2)
CoCu6Pd8: computed powder diffractogram (Cu Kα, 1.54184 Å), based on a cell relaxed with PBE.
No peak broadening, texture or thermal motion is included.

Structure:
Unit cell a=7.1646 b=7.1646 c=5.1234 alpha=90.00 beta=90.00 gamma=120.00
Space group P-31m (No. 162)
Unique sites:
Co (0.0000, 0.0000, 0.0000) x1
Cu (0.0000, 0.3251, 0.8517) x6
Pd (0.0000, 0.3331, 0.3520) x6
Pd (0.3333, 0.6667, 0.0000) x2

Most intense lines, 10° ≤ 2θ ≤ 80°, sorted by position:
d = 3.582 Å, I = 15, hkl 1 1 0
d = 2.936 Å, I = 41, hkl 2 -1 1
d = 2.084 Å, I = 100, hkl 1 1 2
d = 2.068 Å, I = 91, hkl 3 0 0
d = 1.691 Å, I = 8, hkl 2 2 1
d = 1.468 Å, I = 31, hkl 4 -2 2
d = 1.309 Å, I = 7, hkl 5 -1 1
d = 1.206 Å, I = 13, hkl 2 -1 4

---

Repeat the second record exactly.
CoCu6Pd8: computed powder diffractogram (Cu Kα, 1.54184 Å), based on a cell relaxed with PBE.
No peak broadening, texture or thermal motion is included.

Structure:
Unit cell a=7.1646 b=7.1646 c=5.1234 alpha=90.00 beta=90.00 gamma=120.00
Space group P-31m (No. 162)
Unique sites:
Co (0.0000, 0.0000, 0.0000) x1
Cu (0.0000, 0.3251, 0.8517) x6
Pd (0.0000, 0.3331, 0.3520) x6
Pd (0.3333, 0.6667, 0.0000) x2

Most intense lines, 10° ≤ 2θ ≤ 80°, sorted by position:
d = 3.582 Å, I = 15, hkl 1 1 0
d = 2.936 Å, I = 41, hkl 2 -1 1
d = 2.084 Å, I = 100, hkl 1 1 2
d = 2.068 Å, I = 91, hkl 3 0 0
d = 1.691 Å, I = 8, hkl 2 2 1
d = 1.468 Å, I = 31, hkl 4 -2 2
d = 1.309 Å, I = 7, hkl 5 -1 1
d = 1.206 Å, I = 13, hkl 2 -1 4

---

> What is the formula in the second record?

CoCu6Pd8